Entry 1:
# FeCo3S8
Computed powder diffraction line list, Cu Kα. Input: a crystal structure in Alexandria, relaxed with GGA-PBE.

Structure:
Cell: 5.475 5.475 5.475 Å, 90.00 90.00 90.00°
Positions (direct):
Fe  0.000  0.000  0.000
Co  0.000  0.500  0.500
Co  0.500  0.000  0.500
Co  0.500  0.500  0.000
S  0.112  0.619  0.887
S  0.113  0.888  0.381
S  0.381  0.113  0.888
S  0.388  0.388  0.388
S  0.612  0.612  0.612
S  0.619  0.887  0.112
S  0.887  0.112  0.619
S  0.888  0.381  0.113

Largest 10 diffraction maxima, in order of falling intensity, 15° ≤ 2θ ≤ 90°:
Position (°2θ)  intensity
55.7  100
32.7  95
46.9  52
36.7  50
40.4  42
28.2  40
63.6  21
58.4  16
61.0  16
78.1  14

***

Entry 2:
# FeCoS3
Computed powder diffraction line list, Cu Kα. Input: a crystal structure in Alexandria, relaxed with GGA-PBE.

Structure:
Cell: 8.936 8.936 4.617 Å, 90.00 90.00 158.81°
Positions (direct):
Fe  0.173  0.827  0.500
Fe  0.827  0.173  0.000
Co  0.476  0.524  0.507
Co  0.524  0.476  0.007
S  0.055  0.945  0.310
S  0.288  0.712  0.702
S  0.367  0.633  0.290
S  0.633  0.367  0.790
S  0.712  0.288  0.202
S  0.945  0.055  0.810

Largest 10 diffraction maxima, in order of falling intensity, 15° ≤ 2θ ≤ 90°:
Position (°2θ)  intensity
50.8  100
33.9  82
56.0  56
49.8  53
36.9  50
28.0  50
36.3  44
30.5  29
54.7  26
50.3  19

***

Entry 3:
# Ti4FeCoS8
Computed powder diffraction line list, Cu Kα. Input: a crystal structure in Alexandria, relaxed with GGA-PBE.

Structure:
Cell: 5.812 6.468 6.746 Å, 105.11 90.02 116.23°
Positions (direct):
Ti  0.234  0.486  0.371
Ti  0.235  0.488  0.873
Ti  0.765  0.512  0.127
Ti  0.766  0.514  0.629
Fe  0.500  0.000  0.500
Co  0.500  0.000  0.000
S  0.056  0.772  0.943
S  0.058  0.774  0.443
S  0.458  0.236  0.312
S  0.458  0.238  0.806
S  0.542  0.762  0.194
S  0.542  0.764  0.688
S  0.942  0.226  0.557
S  0.944  0.228  0.057

Largest 10 diffraction maxima, in order of falling intensity, 15° ≤ 2θ ≤ 90°:
Position (°2θ)  intensity
45.2  100
34.7  98
54.6  73
45.0  63
45.0  48
17.3  47
35.0  44
30.6  41
54.4  37
17.2  32

***

Entry 4:
# FeCo2Sb8
Computed powder diffraction line list, Cu Kα. Input: a crystal structure in Alexandria, relaxed with GGA-PBE.

Structure:
Cell: 4.850 8.026 8.029 Å, 60.10 89.94 89.96°
Positions (direct):
Fe  0.000  0.000  0.000
Co  0.252  0.667  0.666
Co  0.748  0.333  0.334
Sb  0.237  0.334  0.335
Sb  0.285  0.846  0.308
Sb  0.286  0.308  0.847
Sb  0.286  0.846  0.845
Sb  0.714  0.154  0.155
Sb  0.714  0.692  0.153
Sb  0.715  0.154  0.692
Sb  0.763  0.666  0.665

Largest 10 diffraction maxima, in order of falling intensity, 15° ≤ 2θ ≤ 90°:
Position (°2θ)  intensity
31.7  100
45.2  44
25.6  39
45.6  26
59.8  26
37.1  20
56.2  15
22.1  10
63.5  9
51.3  9

***

Entry 5:
# Sc2FeCo3
Computed powder diffraction line list, Cu Kα. Input: a crystal structure in Alexandria, relaxed with GGA-PBE.

Structure:
Cell: 4.838 4.838 4.838 Å, 61.73 61.73 61.73°
Positions (direct):
Sc  0.126  0.126  0.126
Sc  0.874  0.874  0.874
Fe  0.500  0.500  0.500
Co  0.000  0.500  0.500
Co  0.500  0.000  0.500
Co  0.500  0.500  0.000

Largest 10 diffraction maxima, in order of falling intensity, 15° ≤ 2θ ≤ 90°:
Position (°2θ)  intensity
43.2  100
44.9  77
42.8  54
44.1  45
22.0  30
76.8  26
46.6  24
79.3  23
70.0  21
70.6  19

***

Entry 6:
# Fe2CoSi
Computed powder diffraction line list, Cu Kα. Input: a crystal structure in Alexandria, relaxed with GGA-PBE.

Structure:
Cell: 2.860 3.924 3.926 Å, 90.00 90.00 90.00°
Positions (direct):
Fe  0.000  0.000  0.000
Fe  0.500  0.500  0.000
Co  0.000  0.500  0.500
Si  0.500  0.000  0.500

Largest 10 diffraction maxima, in order of falling intensity, 15° ≤ 2θ ≤ 90°:
Position (°2θ)  intensity
45.5  100
46.3  48
85.2  29
83.7  15
67.5  14
65.3  8
22.7  7
32.3  4
39.0  3
31.3  2

***

Entry 7:
# Fe2Co3Si
Computed powder diffraction line list, Cu Kα. Input: a crystal structure in Alexandria, relaxed with GGA-PBE.

Structure:
Cell: 6.307 6.307 2.837 Å, 90.00 90.00 143.29°
Positions (direct):
Fe  0.169  0.831  0.000
Fe  0.831  0.169  0.000
Co  0.000  0.000  0.500
Co  0.338  0.662  0.500
Co  0.662  0.338  0.500
Si  0.500  0.500  0.000

Largest 10 diffraction maxima, in order of falling intensity, 15° ≤ 2θ ≤ 90°:
Position (°2θ)  intensity
45.4  100
45.7  20
66.4  12
84.3  12
84.0  11
65.8  6
83.8  6
83.6  6
31.8  2
23.6  1

***

Entry 8:
# UFe5Co5Si2
Computed powder diffraction line list, Cu Kα. Input: a crystal structure in Alexandria, relaxed with GGA-PBE.

Structure:
Cell: 6.205 6.205 8.083 Å, 130.45 130.45 45.72°
Positions (direct):
U  0.000  0.000  0.000
Fe  0.001  0.499  0.996
Fe  0.499  0.001  0.996
Fe  0.501  0.501  0.224
Fe  0.502  0.502  0.778
Fe  0.724  0.724  0.224
Co  0.001  0.001  0.345
Co  0.272  0.272  0.768
Co  0.345  0.345  0.349
Co  0.655  0.655  0.650
Co  0.996  0.996  0.650
Si  0.001  0.500  0.501
Si  0.500  0.001  0.501

Largest 10 diffraction maxima, in order of falling intensity, 15° ≤ 2θ ≤ 90°:
Position (°2θ)  intensity
43.7  100
44.4  92
44.6  86
30.9  70
38.1  52
38.3  52
21.4  51
15.4  49
37.3  49
44.6  42

***

Entry 9:
# Sm4Fe31Co3
Computed powder diffraction line list, Cu Kα. Input: a crystal structure in Alexandria, relaxed with GGA-PBE.

Structure:
Cell: 6.421 6.448 12.869 Å, 82.81 82.40 82.63°
Positions (direct):
Sm  0.000  0.000  0.000
Sm  0.001  0.001  0.500
Sm  0.680  0.682  0.841
Sm  0.682  0.684  0.341
Fe  0.042  0.341  0.819
Fe  0.045  0.344  0.318
Fe  0.046  0.636  0.171
Fe  0.050  0.632  0.672
Fe  0.181  0.684  0.843
Fe  0.181  0.686  0.342
Fe  0.245  0.244  0.623
Fe  0.246  0.245  0.122
Fe  0.338  0.051  0.816
Fe  0.339  0.342  0.920
Fe  0.340  0.055  0.315
Fe  0.341  0.344  0.420
Fe  0.341  0.631  0.026
Fe  0.341  0.840  0.671
Fe  0.341  0.841  0.171
Fe  0.342  0.630  0.526
Fe  0.436  0.437  0.719
Fe  0.438  0.438  0.218
Fe  0.495  0.000  0.999
Fe  0.495  0.999  0.499
Fe  0.632  0.050  0.669
Fe  0.637  0.046  0.169
Fe  0.638  0.340  0.022
Fe  0.638  0.341  0.521
Fe  0.681  0.184  0.841
Fe  0.683  0.183  0.340
Fe  0.683  0.682  0.091
Fe  0.685  0.684  0.591
Fe  0.840  0.342  0.670
Fe  0.841  0.341  0.170
Fe  0.997  0.999  0.748
Co  0.001  0.004  0.249
Co  0.001  0.498  0.001
Co  0.001  0.498  0.501

Largest 10 diffraction maxima, in order of falling intensity, 15° ≤ 2θ ≤ 90°:
Position (°2θ)  intensity
42.7  100
42.8  97
43.5  79
30.0  62
37.8  48
42.4  40
42.6  39
42.9  33
36.8  26
36.7  26

***

Entry 10:
# SmV2Fe5Co5
Computed powder diffraction line list, Cu Kα. Input: a crystal structure in Alexandria, relaxed with GGA-PBE.

Structure:
Cell: 6.403 6.403 6.403 Å, 137.28 97.74 97.50°
Positions (direct):
Sm  0.000  0.000  0.000
V  0.357  0.357  0.000
V  0.640  0.640  0.000
Fe  0.000  0.499  0.002
Fe  0.000  0.998  0.501
Fe  0.497  0.499  0.499
Fe  0.497  0.998  0.998
Fe  0.772  0.272  0.500
Co  0.225  0.725  0.500
Co  0.226  0.498  0.729
Co  0.359  0.000  0.360
Co  0.640  0.000  0.640
Co  0.769  0.498  0.271

Largest 10 diffraction maxima, in order of falling intensity, 15° ≤ 2θ ≤ 90°:
Position (°2θ)  intensity
43.3  100
44.4  68
30.5  42
37.3  41
42.8  34
42.9  29
49.6  27
73.1  19
38.6  16
33.6  14

***

Entry 11:
# Ta2FeCo
Computed powder diffraction line list, Cu Kα. Input: a crystal structure in Alexandria, relaxed with GGA-PBE.

Structure:
Cell: 3.119 3.119 6.054 Å, 90.00 90.00 90.00°
Positions (direct):
Ta  0.000  0.000  0.000
Ta  0.500  0.500  0.307
Fe  0.500  0.500  0.770
Co  0.000  0.000  0.536

Largest 10 diffraction maxima, in order of falling intensity, 15° ≤ 2θ ≤ 90°:
Position (°2θ)  intensity
41.6  100
40.9  58
32.3  43
75.0  34
59.2  19
76.3  12
62.4  11
69.1  10
44.9  7
88.7  6

***

Entry 12:
# Ta4FeCo
Computed powder diffraction line list, Cu Kα. Input: a crystal structure in Alexandria, relaxed with GGA-PBE.

Structure:
Cell: 4.997 4.997 4.997 Å, 104.86 104.86 119.15°
Positions (direct):
Ta  0.087  0.587  0.175
Ta  0.413  0.913  0.825
Ta  0.587  0.413  0.500
Ta  0.913  0.087  0.500
Fe  0.500  0.500  0.000
Co  0.000  0.000  0.000

Largest 10 diffraction maxima, in order of falling intensity, 15° ≤ 2θ ≤ 90°:
Position (°2θ)  intensity
37.5  100
65.0  26
47.2  21
46.7  18
35.5  17
65.8  16
76.2  15
41.4  13
88.5  11
87.8  8

***

Entry 13:
# TbFeCo10
Computed powder diffraction line list, Cu Kα. Input: a crystal structure in Alexandria, relaxed with GGA-PBE.

Structure:
Cell: 4.026 4.721 8.295 Å, 90.00 90.00 90.00°
Positions (direct):
Tb  0.000  0.000  0.000
Fe  0.000  0.500  0.500
Co  0.000  0.000  0.350
Co  0.000  0.000  0.650
Co  0.000  0.500  0.202
Co  0.000  0.500  0.798
Co  0.500  0.000  0.500
Co  0.500  0.252  0.256
Co  0.500  0.252  0.744
Co  0.500  0.500  0.000
Co  0.500  0.748  0.256
Co  0.500  0.748  0.744

Largest 10 diffraction maxima, in order of falling intensity, 15° ≤ 2θ ≤ 90°:
Position (°2θ)  intensity
44.1  100
44.5  41
45.0  40
31.1  35
37.7  18
43.6  18
73.1  15
64.9  15
64.5  14
49.9  14